This entry pairs a crystal structure of YAl3Ni2 with its theoretical PXRD pattern. Radiation: Cu Kα, 1.54184 Å. Structure: a DFT-relaxed cell (PBE, the Materials Project).

Crystal structure
abc: 9.0160 9.0160 4.0781
angles: 90.00 90.00 120.00
Space group P6/mmm (No. 191)
One atom of each set of equivalent atoms:
1 Y 0.0000 0.0000 0.0000
2 Y 0.3333 0.6667 0.5000
3 Al 0.0000 0.2966 0.5000
4 Al 0.0000 0.5000 0.0000
5 Ni 0.1820 0.3641 0.0000

Top 6 peaks for 15 to 90 degrees two-theta, low angle first:
2θ = 37.62°, I 100, hkl 2 1 1; 2θ = 40.00°, I 82, hkl 2 2 0; 2θ = 41.14°, I 59, hkl 3 0 1; 2θ = 44.43°, I 41, hkl 0 0 2; 2θ = 46.01°, I 45, hkl 2 2 1; 2θ = 61.30°, I 44, hkl 2 2 2

=====

This entry pairs a crystal structure of Cs4Pr6C2I13 with its theoretical PXRD pattern. Radiation: Cu Kα, 1.54184 Å. Structure: a DFT-relaxed cell (PBE, the Materials Project).

Crystal structure
abc: 18.3261 18.3261 12.8626
angles: 90.00 90.00 90.00
Space group I4_1/amd (No. 141, origin choice 2)
One atom of each set of equivalent atoms:
1 Cs 0.1536 0.0964 0.3750
2 Pr 0.0000 0.1113 0.8765
3 Pr 0.0000 0.2500 0.1088
4 C 0.0000 0.2500 0.8208
5 I 0.0000 0.0735 0.6224
6 I 0.0000 0.0774 0.1305
7 I 0.0000 0.2500 0.3750
8 I 0.1714 0.0786 0.8750

Top 6 peaks for 15 to 90 degrees two-theta, low angle first:
2θ = 24.83°, I 72, hkl 3 3 2; 2θ = 27.74°, I 65, hkl 0 0 4; 2θ = 29.24°, I 100, hkl 6 0 0; 2θ = 40.74°, I 78, hkl 6 0 4; 2θ = 41.83°, I 31, hkl 6 6 0; 2θ = 50.93°, I 34, hkl 6 6 4

=====

This entry pairs a crystal structure of MgMo3 with its theoretical PXRD pattern. Radiation: Cu Kα, 1.54184 Å. Structure: a DFT-relaxed cell (PBE, the Materials Project).

Crystal structure
abc: 6.3770 6.3770 6.3770
angles: 90.00 90.00 90.00
Space group Fm-3m (No. 225)
One atom of each set of equivalent atoms:
1 Mg 0.0000 0.0000 0.0000
2 Mo 0.0000 0.0000 0.5000
3 Mo 0.2500 0.2500 0.2500

Top 6 peaks for 15 to 90 degrees two-theta, low angle first:
2θ = 24.17°, I 13, hkl 1 1 1; 2θ = 27.98°, I 7, hkl 2 0 0; 2θ = 39.99°, I 100, hkl 2 2 0; 2θ = 57.84°, I 16, hkl 4 0 0; 2θ = 72.63°, I 33, hkl 4 2 2; 2θ = 86.29°, I 11, hkl 4 4 0